Diffraction record for Pm2SmDy3. The X-ray powder pattern is theoretical, not measured: it uses a GGA-PBE-relaxed structure and CuKα.
Kinematic intensities with the Lorentz-polarization factor, no thermal factor.

Largest 10 diffraction maxima, by angle, 10 to 90 degrees two-theta:
d [Å]	I_rel
3.392	32
3.084	73
2.963	50
2.937	100
2.660	69
2.499	56
2.389	46
1.936	19
1.680	25
1.623	28

Structure:
a b c (Å): 8.141 8.141 6.416
angles (deg): 90.00 90.00 108.48
Element x y z (fractional)
Pm  0.122  0.241  0.000
Pm  0.241  0.122  0.500
Pm  0.759  0.878  0.000
Pm  0.878  0.759  0.500
Sm  0.325  0.675  0.275
Sm  0.675  0.325  0.775
Dy  0.011  0.623  0.959
Dy  0.377  0.989  0.959
Dy  0.418  0.582  0.750
Dy  0.582  0.418  0.250
Dy  0.623  0.011  0.459
Dy  0.989  0.377  0.459

Diffraction record for Pm3Sm8Dy. The X-ray powder pattern is theoretical, not measured: it uses a GGA-PBE-relaxed structure and CuKα.
Kinematic intensities with the Lorentz-polarization factor, no thermal factor.

Largest 10 diffraction maxima, by angle, 10 to 90 degrees two-theta:
d [Å]	I_rel
3.530	16
2.966	57
2.946	100
2.894	46
2.880	40
2.676	14
2.606	35
2.248	16
1.655	13
1.561	13

Structure:
a b c (Å): 8.985 8.985 6.459
angles (deg): 110.87 110.87 58.80
Element x y z (fractional)
Pm  0.000  0.000  0.000
Pm  0.071  0.182  0.638
Pm  0.818  0.929  0.362
Sm  0.132  0.527  0.070
Sm  0.235  0.627  0.675
Sm  0.304  0.200  0.348
Sm  0.373  0.765  0.325
Sm  0.473  0.868  0.930
Sm  0.540  0.208  0.889
Sm  0.792  0.460  0.111
Sm  0.800  0.696  0.652
Dy  0.617  0.383  0.500

Diffraction record for PmSm6Dy6. The X-ray powder pattern is theoretical, not measured: it uses a GGA-PBE-relaxed structure and CuKα.
Kinematic intensities with the Lorentz-polarization factor, no thermal factor.

Largest 10 diffraction maxima, by angle, 10 to 90 degrees two-theta:
d [Å]	I_rel
3.101	77
2.992	93
2.838	30
2.793	67
2.638	100
2.569	31
2.499	39
1.771	24
1.566	24
1.538	26

Structure:
a b c (Å): 6.610 6.610 11.189
angles (deg): 90.00 90.00 115.18
Element x y z (fractional)
Pm  0.000  0.000  0.000
Sm  0.000  0.000  0.333
Sm  0.000  0.000  0.667
Sm  0.265  0.735  0.500
Sm  0.357  0.643  0.000
Sm  0.643  0.357  0.000
Sm  0.735  0.265  0.500
Dy  0.000  0.500  0.225
Dy  0.000  0.500  0.775
Dy  0.500  0.000  0.225
Dy  0.500  0.000  0.775
Dy  0.500  0.500  0.302
Dy  0.500  0.500  0.698

Diffraction record for Pm4Sm10Dy. The X-ray powder pattern is theoretical, not measured: it uses a GGA-PBE-relaxed structure and CuKα.
Kinematic intensities with the Lorentz-polarization factor, no thermal factor.

Largest 10 diffraction maxima, by angle, 10 to 90 degrees two-theta:
d [Å]	I_rel
4.514	26
3.909	14
2.764	100
2.357	14
1.954	18
1.794	6
1.748	6
1.596	38
1.382	12
1.236	16

Structure:
a b c (Å): 9.574 9.574 9.574
angles (deg): 99.60 99.60 131.78
Element x y z (fractional)
Pm  0.100  0.299  0.399
Pm  0.299  0.900  0.198
Pm  0.701  0.100  0.802
Pm  0.900  0.701  0.601
Sm  0.052  0.152  0.702
Sm  0.152  0.451  0.100
Sm  0.250  0.750  0.500
Sm  0.351  0.052  0.900
Sm  0.451  0.351  0.298
Sm  0.549  0.649  0.702
Sm  0.649  0.948  0.100
Sm  0.750  0.250  0.500
Sm  0.848  0.549  0.900
Sm  0.948  0.848  0.298
Dy  0.500  0.500  0.000

Diffraction record for Pm12Sm5Dy. The X-ray powder pattern is theoretical, not measured: it uses a GGA-PBE-relaxed structure and CuKα.
Kinematic intensities with the Lorentz-polarization factor, no thermal factor.

Largest 10 diffraction maxima, by angle, 10 to 90 degrees two-theta:
d [Å]	I_rel
3.029	25
2.964	30
2.832	100
2.625	10
2.118	19
1.904	11
1.708	14
1.685	21
1.602	13
1.416	10

Structure:
a b c (Å): 10.568 10.568 6.058
angles (deg): 90.03 90.03 114.56
Element x y z (fractional)
Pm  0.008  0.340  0.454
Pm  0.159  0.492  0.954
Pm  0.175  0.175  0.050
Pm  0.325  0.325  0.550
Pm  0.340  0.008  0.454
Pm  0.492  0.159  0.954
Pm  0.508  0.841  0.046
Pm  0.660  0.992  0.546
Pm  0.675  0.675  0.450
Pm  0.825  0.825  0.950
Pm  0.841  0.508  0.046
Pm  0.992  0.660  0.546
Sm  0.166  0.834  0.000
Sm  0.333  0.667  0.500
Sm  0.500  0.500  0.000
Sm  0.667  0.333  0.500
Sm  0.834  0.166  0.000
Dy  0.000  0.000  0.500

Diffraction record for Pm3Sm3Dy5. The X-ray powder pattern is theoretical, not measured: it uses a GGA-PBE-relaxed structure and CuKα.
Kinematic intensities with the Lorentz-polarization factor, no thermal factor.

Largest 10 diffraction maxima, by angle, 10 to 90 degrees two-theta:
d [Å]	I_rel
8.372	38
5.551	78
4.834	31
3.342	58
2.791	74
2.775	62
2.749	100
2.493	78
2.142	44
1.968	54

Structure:
a b c (Å): 9.667 9.667 5.551
angles (deg): 90.00 90.00 120.00
Element x y z (fractional)
Pm  0.000  0.429  0.000
Pm  0.429  0.000  0.000
Pm  0.571  0.571  0.000
Sm  0.000  0.633  0.500
Sm  0.367  0.367  0.500
Sm  0.633  0.000  0.500
Dy  0.000  0.268  0.500
Dy  0.268  0.000  0.500
Dy  0.333  0.667  0.500
Dy  0.667  0.333  0.500
Dy  0.732  0.732  0.500

Diffraction record for Pm2Sm4Dy3. The X-ray powder pattern is theoretical, not measured: it uses a GGA-PBE-relaxed structure and CuKα.
Kinematic intensities with the Lorentz-polarization factor, no thermal factor.

Largest 10 diffraction maxima, by angle, 10 to 90 degrees two-theta:
d [Å]	I_rel
2.942	100
2.548	51
1.803	18
1.800	18
1.539	11
1.536	25
1.534	7
1.472	9
1.169	9
1.139	7

Structure:
a b c (Å): 6.236 6.244 9.526
angles (deg): 109.00 90.06 119.92
Element x y z (fractional)
Pm  0.055  0.278  0.167
Pm  0.945  0.722  0.833
Sm  0.167  0.834  0.500
Sm  0.279  0.390  0.833
Sm  0.721  0.610  0.167
Sm  0.833  0.166  0.500
Dy  0.390  0.946  0.167
Dy  0.500  0.500  0.500
Dy  0.610  0.054  0.833

Diffraction record for Pm2Sm5Dy2. The X-ray powder pattern is theoretical, not measured: it uses a GGA-PBE-relaxed structure and CuKα.
Kinematic intensities with the Lorentz-polarization factor, no thermal factor.

Largest 10 diffraction maxima, by angle, 10 to 90 degrees two-theta:
d [Å]	I_rel
2.994	59
2.946	100
2.869	81
2.856	64
2.807	80
2.631	50
2.451	33
1.838	29
1.517	27
1.506	31

Structure:
a b c (Å): 9.877 9.877 8.947
angles (deg): 98.79 98.79 20.64
Element x y z (fractional)
Pm  0.069  0.069  0.193
Pm  0.931  0.931  0.807
Sm  0.265  0.265  0.832
Sm  0.400  0.400  0.144
Sm  0.500  0.500  0.500
Sm  0.600  0.600  0.856
Sm  0.735  0.735  0.168
Dy  0.324  0.324  0.485
Dy  0.676  0.676  0.515

Diffraction record for Pm4Sm4Dy5. The X-ray powder pattern is theoretical, not measured: it uses a GGA-PBE-relaxed structure and CuKα.
Kinematic intensities with the Lorentz-polarization factor, no thermal factor.

Largest 10 diffraction maxima, by angle, 10 to 90 degrees two-theta:
d [Å]	I_rel
2.941	100
2.551	34
2.537	17
1.804	12
1.799	24
1.538	29
1.532	14
1.470	12
1.170	6
1.168	12

Structure:
a b c (Å): 9.543 9.543 9.543
angles (deg): 94.05 94.05 149.16
Element x y z (fractional)
Pm  0.078  0.616  0.694
Pm  0.384  0.078  0.462
Pm  0.616  0.922  0.538
Pm  0.922  0.384  0.306
Sm  0.153  0.229  0.382
Sm  0.229  0.847  0.076
Sm  0.771  0.153  0.924
Sm  0.847  0.771  0.618
Dy  0.000  0.000  0.000
Dy  0.310  0.462  0.771
Dy  0.462  0.690  0.152
Dy  0.538  0.310  0.848
Dy  0.690  0.538  0.229

Diffraction record for Pm7Sm12Dy. The X-ray powder pattern is theoretical, not measured: it uses a GGA-PBE-relaxed structure and CuKα.
Kinematic intensities with the Lorentz-polarization factor, no thermal factor.

Largest 10 diffraction maxima, by angle, 10 to 90 degrees two-theta:
d [Å]	I_rel
3.212	19
3.096	27
2.947	42
2.881	100
2.841	46
2.755	77
2.467	17
1.697	16
1.690	17
1.673	15

Structure:
a b c (Å): 8.868 8.868 8.868
angles (deg): 86.82 86.82 86.82
Element x y z (fractional)
Pm  0.000  0.000  0.000
Pm  0.104  0.349  0.423
Pm  0.349  0.423  0.104
Pm  0.423  0.104  0.349
Pm  0.577  0.896  0.651
Pm  0.651  0.577  0.896
Pm  0.896  0.651  0.577
Sm  0.006  0.365  0.884
Sm  0.116  0.994  0.635
Sm  0.226  0.752  0.352
Sm  0.248  0.648  0.774
Sm  0.352  0.226  0.752
Sm  0.365  0.884  0.006
Sm  0.635  0.116  0.994
Sm  0.648  0.774  0.248
Sm  0.752  0.352  0.226
Sm  0.774  0.248  0.648
Sm  0.884  0.006  0.365
Sm  0.994  0.635  0.116
Dy  0.500  0.500  0.500

Diffraction record for Pm12Sm3Dy. The X-ray powder pattern is theoretical, not measured: it uses a GGA-PBE-relaxed structure and CuKα.
Kinematic intensities with the Lorentz-polarization factor, no thermal factor.

Largest 10 diffraction maxima, by angle, 10 to 90 degrees two-theta:
d [Å]	I_rel
2.970	100
2.572	51
1.819	36
1.551	43
1.485	12
1.287	4
1.285	2
1.180	18
1.151	11
1.149	5

Structure:
a b c (Å): 5.147 5.147 20.556
angles (deg): 90.00 90.00 90.00
Element x y z (fractional)
Pm  0.000  0.000  0.000
Pm  0.000  0.000  0.249
Pm  0.000  0.000  0.500
Pm  0.000  0.000  0.751
Pm  0.000  0.500  0.124
Pm  0.000  0.500  0.375
Pm  0.000  0.500  0.625
Pm  0.000  0.500  0.876
Pm  0.500  0.000  0.124
Pm  0.500  0.000  0.375
Pm  0.500  0.000  0.625
Pm  0.500  0.000  0.876
Sm  0.500  0.500  0.249
Sm  0.500  0.500  0.500
Sm  0.500  0.500  0.751
Dy  0.500  0.500  0.000

Diffraction record for Pm8SmDy4. The X-ray powder pattern is theoretical, not measured: it uses a GGA-PBE-relaxed structure and CuKα.
Kinematic intensities with the Lorentz-polarization factor, no thermal factor.

Largest 10 diffraction maxima, by angle, 10 to 90 degrees two-theta:
d [Å]	I_rel
4.542	15
3.934	5
3.518	5
2.782	100
2.372	8
1.967	18
1.606	37
1.391	11
1.244	15
1.136	4

Structure:
a b c (Å): 7.867 7.867 7.867
angles (deg): 90.00 90.00 90.00
Element x y z (fractional)
Pm  0.240  0.240  0.240
Pm  0.240  0.240  0.760
Pm  0.240  0.760  0.240
Pm  0.240  0.760  0.760
Pm  0.760  0.240  0.240
Pm  0.760  0.240  0.760
Pm  0.760  0.760  0.240
Pm  0.760  0.760  0.760
Sm  0.500  0.500  0.500
Dy  0.000  0.000  0.000
Dy  0.000  0.500  0.500
Dy  0.500  0.000  0.500
Dy  0.500  0.500  0.000